(1)
Calculated powder X-ray diffraction pattern
Compound: Ba2YTlCo2O7
Radiation: Cu Ka
Structure: DFT lattice parameters and positions (PBE+U)
Lines closer than 0.1° are merged.

a = 5.613 Å, b = 5.616 Å, c = 13.136 Å
α = 102.26°, β = 102.22°, γ = 90.08°
Atoms (fractional coordinates):
Ba: 0.000 0.000 0.000
Ba: 0.209 0.209 0.417
Ba: 0.499 0.494 0.997
Ba: 0.709 0.702 0.415
Y: 0.354 0.352 0.707
Y: 0.855 0.850 0.707
Tl: 0.138 0.640 0.207
Tl: 0.635 0.062 0.207
Co: 0.288 0.785 0.574
Co: 0.421 0.918 0.839
Co: 0.787 0.284 0.574
Co: 0.921 0.418 0.842
O: 0.009 0.504 0.036
O: 0.044 0.041 0.591
O: 0.046 0.039 0.208
O: 0.046 0.543 0.594
O: 0.162 0.158 0.820
O: 0.163 0.661 0.823
O: 0.183 0.675 0.379
O: 0.510 0.026 0.037
O: 0.547 0.041 0.592
O: 0.547 0.659 0.206
O: 0.549 0.546 0.594
O: 0.664 0.159 0.821
O: 0.664 0.663 0.823
O: 0.680 0.196 0.378

Most intense lines, 10 to 80 degrees two-theta, by angle:
2θ (°), I (rel.), h k l
23.51, 14, 1 1 0
26.58, 44, 1 -1 2
31.08, 100, 1 1 -4
31.88, 71, 2 0 -1
35.84, 18, 0 0 5
43.29, 22, 2 0 3
45.71, 35, 2 -2 0
48.71, 16, 2 0 -6
53.65, 10, 3 -1 1
56.30, 33, -3 1 4
56.39, 14, 3 1 -5
59.37, 10, 2 -2 5

***

(2)
Calculated powder X-ray diffraction pattern
Compound: Ba2YTlCo2O7
Radiation: Cu Ka
Structure: DFT lattice parameters and positions (PBE+U)
Lines closer than 0.1° are merged.

a = 3.929 Å, b = 3.929 Å, c = 12.602 Å
α = 89.94°, β = 89.97°, γ = 89.83°
Atoms (fractional coordinates):
Ba: 0.000 0.000 0.000
Ba: 0.002 0.002 0.415
Y: 0.000 0.000 0.708
Tl: 0.500 0.498 0.208
Co: 0.500 0.500 0.849
Co: 0.501 0.501 0.566
O: 0.000 0.500 0.822
O: 0.500 0.001 0.822
O: 0.500 0.500 0.028
O: 0.500 0.500 0.389
O: 0.500 0.998 0.594
O: 0.998 0.001 0.208
O: 0.998 0.500 0.595

Most intense lines, 10 to 80 degrees two-theta, by angle:
2θ (°), I (rel.), h k l
23.72, 13, 0 1 1
26.74, 36, 1 0 2
31.17, 100, 1 0 -3
32.22, 69, 1 1 0
35.62, 15, 0 0 5
43.41, 15, 1 1 4
46.21, 35, 2 0 0
48.77, 11, 1 1 5
56.20, 11, 1 0 7
56.73, 19, 2 1 -3
56.85, 18, 1 -2 3
59.67, 13, 2 0 5

***

Q: Which formula does entry 1 have?
A: Ba2YTlCo2O7

***

Q: What is the formula in the second record?
A: Ba2YTlCo2O7